The following is a theoretical X-ray powder pattern of PmDyHg. It was derived from a cell relaxed with PBE, using Cu Kα (weighted mean of Kα1 and Kα2).
Kinematic intensities with the Lorentz-polarization factor, no thermal factor.

Top 12 peaks for 2θ = 10–90°, by intensity:
2theta, I/Imax, hkl
34.84, 100.0, 2 2 0
62.47, 37.3, 4 2 2
21.13, 35.9, 1 1 1
41.10, 20.1, 3 1 1
50.09, 18.0, 4 0 0
84.04, 16.7, 6 2 0
73.56, 11.6, 4 4 0
54.95, 8.7, 3 3 1
66.73, 6.5, 5 1 1
77.54, 6.5, 5 3 1
24.44, 5.7, 2 0 0
87.90, 2.5, 5 3 3

Structure:
Cell: 7.2838 7.2838 7.2838 Å, 90.00 90.00 90.00°
Fractional coordinates of all 12 atoms:
1 Pm 0.0000 0.0000 0.0000
2 Pm 0.0000 0.5000 0.5000
3 Pm 0.5000 0.0000 0.5000
4 Pm 0.5000 0.5000 0.0000
5 Dy 0.0000 0.0000 0.5000
6 Dy 0.0000 0.5000 0.0000
7 Dy 0.5000 0.0000 0.0000
8 Dy 0.5000 0.5000 0.5000
9 Hg 0.2500 0.2500 0.7500
10 Hg 0.2500 0.7500 0.2500
11 Hg 0.7500 0.2500 0.2500
12 Hg 0.7500 0.7500 0.7500